# LaScSb
Calculated powder diffractogram, a wavelength of 1.5418 Å. Input: a structure optimized by DFT (PBE).

Largest 8 diffraction maxima, in order of falling intensity, 2θ from 10° to 90°:
| Position (°2θ) | intensity |
| --- | --- |
| 35.16 | 100 |
| 27.76 | 96 |
| 33.15 | 92 |
| 39.66 | 75 |
| 29.77 | 55 |
| 52.62 | 49 |
| 53.02 | 32 |
| 68.20 | 30 |

Cell and atoms:
```
LaScSb
1.0
-2.272 2.272 8.403
2.272 -2.272 8.403
2.272 2.272 -8.403
La Sc Sb
2 2 2
Direct
0.175 0.175 0.000 La
0.825 0.825 0.000 La
0.000 0.500 0.500 Sc
0.500 0.000 0.500 Sc
0.376 0.376 0.000 Sb
0.624 0.624 0.000 Sb
```

# La2SnSb4
Calculated powder diffractogram, a wavelength of 1.5418 Å. Input: a structure optimized by DFT (PBE).

Largest 8 diffraction maxima, in order of falling intensity, 2θ from 10° to 90°:
| Position (°2θ) | intensity |
| --- | --- |
| 36.13 | 100 |
| 31.64 | 91 |
| 30.37 | 68 |
| 29.74 | 62 |
| 37.09 | 47 |
| 40.14 | 17 |
| 57.78 | 17 |
| 32.04 | 16 |

Cell and atoms:
```
La2SnSb4
1.0
7.600 0.000 0.000
0.000 6.544 0.000
-6.868 0.000 9.268
La Sn Sb
4 2 8
Direct
0.246 0.159 0.147 La
0.246 0.341 0.647 La
0.754 0.659 0.353 La
0.754 0.841 0.853 La
0.500 0.000 0.500 Sn
0.500 0.500 0.000 Sn
0.050 0.110 0.791 Sb
0.050 0.390 0.291 Sb
0.236 0.659 0.127 Sb
0.236 0.841 0.627 Sb
0.764 0.159 0.373 Sb
0.764 0.341 0.873 Sb
0.950 0.610 0.709 Sb
0.950 0.890 0.209 Sb
```

# LaSbTe
Calculated powder diffractogram, a wavelength of 1.5418 Å. Input: a structure optimized by DFT (PBE).

Largest 8 diffraction maxima, in order of falling intensity, 2θ from 10° to 90°:
| Position (°2θ) | intensity |
| --- | --- |
| 30.02 | 100 |
| 34.12 | 85 |
| 40.79 | 59 |
| 34.38 | 51 |
| 27.62 | 47 |
| 49.98 | 36 |
| 67.67 | 32 |
| 54.38 | 28 |

Cell and atoms:
```
LaSbTe
1.0
4.424 0.000 0.000
0.000 4.424 0.000
0.000 0.000 9.689
La Sb Te
2 2 2
Direct
0.250 0.250 0.221 La
0.750 0.750 0.779 La
0.250 0.750 0.500 Sb
0.750 0.250 0.500 Sb
0.250 0.250 0.872 Te
0.750 0.750 0.128 Te
```

# LaSbTe
Calculated powder diffractogram, a wavelength of 1.5418 Å. Input: a structure optimized by DFT (PBE).

Largest 8 diffraction maxima, in order of falling intensity, 2θ from 10° to 90°:
| Position (°2θ) | intensity |
| --- | --- |
| 29.97 | 100 |
| 34.04 | 84 |
| 27.51 | 48 |
| 40.91 | 30 |
| 40.55 | 28 |
| 34.22 | 28 |
| 34.33 | 25 |
| 28.49 | 21 |

Cell and atoms:
```
LaSbTe
1.0
19.453 0.000 0.000
0.000 4.411 0.000
0.000 0.000 4.449
La Sb Te
4 4 4
Direct
0.140 0.250 0.237 La
0.360 0.750 0.737 La
0.640 0.250 0.263 La
0.860 0.750 0.763 La
0.001 0.250 0.721 Sb
0.499 0.750 0.221 Sb
0.501 0.250 0.779 Sb
0.999 0.750 0.279 Sb
0.186 0.750 0.738 Te
0.314 0.250 0.238 Te
0.686 0.750 0.762 Te
0.814 0.250 0.262 Te
```

# La3YSb3
Calculated powder diffractogram, a wavelength of 1.5418 Å. Input: a structure optimized by DFT (PBE).

Largest 8 diffraction maxima, in order of falling intensity, 2θ from 10° to 90°:
| Position (°2θ) | intensity |
| --- | --- |
| 29.45 | 100 |
| 29.39 | 70 |
| 35.08 | 41 |
| 34.88 | 39 |
| 34.97 | 30 |
| 59.38 | 17 |
| 42.12 | 16 |
| 29.56 | 15 |

Cell and atoms:
```
La3YSb3
1.0
6.751 -4.798 0.000
6.751 4.798 0.000
-6.735 0.000 6.816
La Y Sb
6 2 6
Direct
0.069 0.069 0.392 La
0.431 0.214 0.251 La
0.577 0.069 0.896 La
0.786 0.569 0.749 La
0.931 0.423 0.104 La
0.931 0.931 0.608 La
0.291 0.570 0.750 Y
0.430 0.709 0.250 Y
0.066 0.934 0.000 Sb
0.188 0.331 0.879 Sb
0.305 0.695 0.500 Sb
0.547 0.195 0.622 Sb
0.669 0.812 0.121 Sb
0.805 0.453 0.378 Sb
```

# La2ZnSb4
Calculated powder diffractogram, a wavelength of 1.5418 Å. Input: a structure optimized by DFT (PBE).

Largest 8 diffraction maxima, in order of falling intensity, 2θ from 10° to 90°:
| Position (°2θ) | intensity |
| --- | --- |
| 33.43 | 100 |
| 40.87 | 44 |
| 29.86 | 28 |
| 32.75 | 28 |
| 26.43 | 25 |
| 69.70 | 23 |
| 48.18 | 21 |
| 25.58 | 17 |

Cell and atoms:
```
La2ZnSb4
1.0
4.416 0.000 0.000
0.000 4.416 0.000
0.000 0.000 10.446
La Zn Sb
2 1 4
Direct
0.000 0.500 0.248 La
0.500 0.000 0.752 La
0.000 0.000 0.500 Zn
0.000 0.000 0.000 Sb
0.000 0.500 0.652 Sb
0.500 0.000 0.348 Sb
0.500 0.500 0.000 Sb
```

# La3Sc
Calculated powder diffractogram, a wavelength of 1.5418 Å. Input: a structure optimized by DFT (PBE).

Largest 8 diffraction maxima, in order of falling intensity, 2θ from 10° to 90°:
| Position (°2θ) | intensity |
| --- | --- |
| 30.21 | 100 |
| 35.41 | 33 |
| 60.38 | 27 |
| 50.09 | 24 |
| 34.26 | 18 |
| 58.86 | 15 |
| 62.83 | 12 |
| 19.45 | 12 |

Cell and atoms:
```
La3Sc
1.0
-2.535 2.535 5.235
2.535 -2.535 5.235
2.535 2.535 -5.235
La Sc
3 1
Direct
0.000 0.000 0.000 La
0.250 0.750 0.500 La
0.750 0.250 0.500 La
0.500 0.500 0.000 Sc
```

# La2ScSi2
Calculated powder diffractogram, a wavelength of 1.5418 Å. Input: a structure optimized by DFT (PBE).

Largest 8 diffraction maxima, in order of falling intensity, 2θ from 10° to 90°:
| Position (°2θ) | intensity |
| --- | --- |
| 33.28 | 100 |
| 30.98 | 56 |
| 26.71 | 39 |
| 56.08 | 31 |
| 54.56 | 25 |
| 19.49 | 24 |
| 38.13 | 22 |
| 39.58 | 20 |

Cell and atoms:
```
La2ScSi2
1.0
7.463 0.000 0.000
0.000 7.463 0.000
0.000 0.000 4.554
La Sc Si
4 2 4
Direct
0.178 0.322 0.000 La
0.322 0.822 0.000 La
0.678 0.178 0.000 La
0.822 0.678 0.000 La
0.000 0.000 0.500 Sc
0.500 0.500 0.500 Sc
0.117 0.617 0.500 Si
0.383 0.117 0.500 Si
0.617 0.883 0.500 Si
0.883 0.383 0.500 Si
```

# LaScSi
Calculated powder diffractogram, a wavelength of 1.5418 Å. Input: a structure optimized by DFT (PBE).

Largest 8 diffraction maxima, in order of falling intensity, 2θ from 10° to 90°:
| Position (°2θ) | intensity |
| --- | --- |
| 36.59 | 100 |
| 26.61 | 76 |
| 26.40 | 76 |
| 37.99 | 55 |
| 24.66 | 34 |
| 46.85 | 32 |
| 67.72 | 31 |
| 19.72 | 31 |

Cell and atoms:
```
LaScSi
1.0
-2.369 2.369 7.220
2.369 -2.369 7.220
2.369 2.369 -7.220
La Sc Si
2 2 2
Direct
0.143 0.143 0.000 La
0.857 0.857 0.000 La
0.397 0.397 0.000 Sc
0.603 0.603 0.000 Sc
0.000 0.500 0.500 Si
0.500 0.000 0.500 Si
```

# LaScSi
Calculated powder diffractogram, a wavelength of 1.5418 Å. Input: a structure optimized by DFT (PBE).

Largest 8 diffraction maxima, in order of falling intensity, 2θ from 10° to 90°:
| Position (°2θ) | intensity |
| --- | --- |
| 26.31 | 100 |
| 31.11 | 75 |
| 34.51 | 57 |
| 41.53 | 47 |
| 54.18 | 44 |
| 29.04 | 42 |
| 36.69 | 37 |
| 49.83 | 35 |

Cell and atoms:
```
LaScSi
1.0
-2.175 2.175 8.102
2.175 -2.175 8.102
2.175 2.175 -8.102
La Sc Si
2 2 2
Direct
0.176 0.176 0.000 La
0.824 0.824 0.000 La
0.000 0.500 0.500 Sc
0.500 0.000 0.500 Sc
0.382 0.382 0.000 Si
0.618 0.618 0.000 Si
```

# LaSe
Calculated powder diffractogram, a wavelength of 1.5418 Å. Input: a structure optimized by DFT (PBE).

Largest 8 diffraction maxima, in order of falling intensity, 2θ from 10° to 90°:
| Position (°2θ) | intensity |
| --- | --- |
| 10.33 | 100 |
| 29.98 | 75 |
| 30.43 | 53 |
| 30.21 | 44 |
| 31.32 | 38 |
| 26.01 | 37 |
| 43.90 | 30 |
| 42.91 | 28 |

Cell and atoms:
```
LaSe
1.0
2.984 -2.981 0.000
2.984 2.981 0.000
-0.865 0.000 17.130
La Se
2 2
Direct
0.240 0.240 0.425 La
0.760 0.760 0.575 La
0.263 0.263 0.602 Se
0.737 0.737 0.398 Se
```

# LaSe
Calculated powder diffractogram, a wavelength of 1.5418 Å. Input: a structure optimized by DFT (PBE).

Largest 8 diffraction maxima, in order of falling intensity, 2θ from 10° to 90°:
| Position (°2θ) | intensity |
| --- | --- |
| 30.09 | 100 |
| 30.90 | 37 |
| 25.03 | 25 |
| 43.22 | 22 |
| 41.16 | 16 |
| 42.90 | 15 |
| 19.96 | 15 |
| 70.67 | 12 |

Cell and atoms:
```
LaSe
1.0
4.215 0.000 0.000
-0.007 4.216 0.000
-0.263 -0.194 35.583
La Se
4 4
Direct
0.038 0.299 0.215 La
0.455 0.199 0.713 La
0.545 0.801 0.287 La
0.962 0.701 0.785 La
0.046 0.301 0.301 Se
0.462 0.202 0.799 Se
0.538 0.798 0.201 Se
0.954 0.699 0.699 Se
```